Diffraction record for Cs4K2InSb2. The XRD peak list is theoretical, not measured: it uses a PBE-relaxed structure and λ = 1.5418 Å (Cu Kα).
Lines closer than 0.1° are merged.

Crystal structure
```
9
Lattice="8.1302 -5.7949 0.0000 8.1302 5.7949 0.0000 -2.0218 0.0000 5.4203" Properties=species:S:1:pos:R:3 pbc="T T T"
Cs 4.1660 3.3712 4.6657
Cs 10.0726 3.3712 0.7546
Cs 4.1660 -3.3712 4.6657
Cs 10.0726 -3.3712 0.7546
K 5.0720 0.0000 1.9082
K 9.1665 0.0000 3.5120
In -1.0109 0.0000 2.7101
Sb 1.8463 0.0000 3.8015
Sb 12.3923 0.0000 1.6188
```

Largest 8 diffraction maxima, by angle, 2θ = 5–70°:
- 2θ = 9.59°, I 58
- 2θ = 22.49°, I 100
- 2θ = 23.37°, I 17
- 2θ = 27.77°, I 41
- 2θ = 27.93°, I 29
- 2θ = 28.05°, I 59
- 2θ = 29.03°, I 23
- 2θ = 30.90°, I 55